Structure and theoretical PXRD pattern of CaScSi2O6 (a structure optimized by DFT (PBE); Cu Ka).
Kinematic intensities with the Lorentz-polarization factor, no thermal factor.

a = 5.2697 Å, b = 5.2697 Å, c = 16.4218 Å
α = 90.00°, β = 90.00°, γ = 120.00°
Space group R-3 (No. 148, hexagonal axes)
Unique sites:
Ca: 0.0000 0.0000 0.0000 x3
Sc: 0.0000 0.0000 0.5000 x3
Si: 0.0000 0.0000 0.2554 x6
O: 0.0184 0.6452 0.9091 x18

Top 12 peaks for 2θ = 15–90°, by angle:
d (Å)	2θ (°)	I_rel	index
3.052	29.26	100	1 0 4
2.635	34.03	25	1 1 0
2.374	37.90	26	2 -1 3
1.994	45.48	17	0 2 4
1.898	47.92	11	1 1 6
1.872	48.63	21	0 1 8
1.590	58.00	20	2 1 4
1.526	60.68	8	2 0 8
1.521	60.90	21	3 0 0
1.321	71.43	10	3 -2 8
1.214	78.81	5	2 -1 12
1.210	79.19	11	4 -3 4